[1]
# LaCoCu2H8
Simulated powder diffraction line list, λ = 1.5418 Å (Cu Kα). Input: a structure optimized by DFT (GGA-PBE).
Kinematic intensities with the Lorentz-polarization factor, no thermal factor.

Largest 12 diffraction maxima, low angle first, 2θ from 5° to 70°:
d/Å, I (rel.)
3.478, 36.8
3.225, 100.0
3.210, 44.2
2.779, 36.6
2.733, 34.3
2.653, 17.7
2.293, 41.8
2.259, 44.0
2.175, 39.9
2.122, 35.0
1.613, 29.0
1.605, 19.2

Cell: 4.520 4.600 4.900 Å, 94.34 91.68 90.17°
Fractional coordinates of all 12 atoms:
La 0.000 0.000 0.000
Co 0.000 0.500 0.500
Cu 0.497 0.466 0.750
Cu 0.503 0.534 0.250
H 0.107 0.506 0.200
H 0.199 0.232 0.554
H 0.257 0.722 0.585
H 0.499 0.225 0.988
H 0.501 0.775 0.012
H 0.743 0.278 0.415
H 0.801 0.768 0.446
H 0.893 0.494 0.800

***

[2]
# Ba3Pt7Au2
Simulated powder diffraction line list, λ = 1.5418 Å (Cu Kα). Input: a structure optimized by DFT (GGA-PBE).
Kinematic intensities with the Lorentz-polarization factor, no thermal factor.

Largest 12 diffraction maxima, low angle first, 2θ from 5° to 70°:
d/Å, I (rel.)
4.856, 32.1
2.848, 18.2
2.457, 27.4
2.428, 13.4
2.418, 100.0
2.321, 13.5
2.289, 28.6
2.250, 47.2
2.228, 19.1
2.088, 20.1
1.548, 25.5
1.424, 28.3

Cell: 9.730 9.730 9.730 Å, 34.04 34.04 34.04°
Fractional coordinates of all 12 atoms:
Ba 0.000 0.000 0.000
Ba 0.141 0.141 0.141
Ba 0.859 0.859 0.859
Pt 0.084 0.583 0.583
Pt 0.417 0.417 0.916
Pt 0.417 0.916 0.417
Pt 0.500 0.500 0.500
Pt 0.583 0.084 0.583
Pt 0.583 0.583 0.084
Pt 0.916 0.417 0.417
Au 0.332 0.332 0.332
Au 0.668 0.668 0.668

***

[3]
# Sr2InAgPb6
Simulated powder diffraction line list, λ = 1.5418 Å (Cu Kα). Input: a structure optimized by DFT (GGA-PBE).
Kinematic intensities with the Lorentz-polarization factor, no thermal factor.

Largest 12 diffraction maxima, low angle first, 2θ from 5° to 70°:
d/Å, I (rel.)
5.790, 29.5
5.177, 24.1
4.417, 59.3
2.857, 73.1
2.762, 100.0
2.707, 56.5
2.589, 21.5
2.525, 38.6
2.335, 28.7
2.149, 21.7
2.032, 23.0
1.713, 40.9

Cell: 18.105 18.105 18.105 Å, 21.81 21.81 21.81°
Fractional coordinates of all 20 atoms:
Sr 0.100 0.100 0.100
Sr 0.315 0.315 0.315
Sr 0.685 0.685 0.685
Sr 0.900 0.900 0.900
In 0.420 0.420 0.420
In 0.580 0.580 0.580
Ag 0.000 0.000 0.000
Ag 0.500 0.500 0.500
Pb 0.110 0.640 0.640
Pb 0.211 0.211 0.704
Pb 0.211 0.704 0.211
Pb 0.296 0.789 0.789
Pb 0.360 0.360 0.890
Pb 0.360 0.890 0.360
Pb 0.640 0.110 0.640
Pb 0.640 0.640 0.110
Pb 0.704 0.211 0.211
Pb 0.789 0.296 0.789
Pb 0.789 0.789 0.296
Pb 0.890 0.360 0.360